1.
The following is a simulated X-ray powder pattern of La2AlTlIr. It was derived from a DFT-relaxed cell (GGA-PBE, Alexandria), using Cu Kα (weighted mean of Kα1 and Kα2).
Kinematic intensities with the Lorentz-polarization factor, no thermal factor.

Largest 10 diffraction maxima, low angle first, 2θ = 10–90°:
2theta  d/Å  I (rel.)  hkl
22.80  3.900  31  2 0 -1
30.07  2.972  45  2 0 1
30.35  2.945  30  1 1 -2
30.50  2.931  38  2 1 -1
31.11  2.874  100  0 1 2
34.20  2.622  54  2 1 -2
36.36  2.471  48  2 1 1
39.74  2.268  40  3 1 -1
40.60  2.222  45  0 2 0
66.33  1.409  24  4 1 2

Cell and atoms:
a b c (Å): 7.9137 4.4437 7.9965
angles (deg): 90.00 109.49 90.00
Space group P2_1/m (No. 11)
Inequivalent atoms, fractional coordinates:
La (0.1141, 0.2500, 0.3329) [2 per cell]
La (0.2848, 0.2500, 0.9680) [2 per cell]
Al (0.4398, 0.7500, 0.3405) [2 per cell]
Tl (0.3253, 0.7500, 0.6624) [2 per cell]
Ir (0.1317, 0.7500, 0.1043) [2 per cell]

2.
The following is a simulated X-ray powder pattern of Li6Al12Ir. It was derived from a DFT-relaxed cell (GGA-PBE, Alexandria), using Cu Kα (weighted mean of Kα1 and Kα2).
Kinematic intensities with the Lorentz-polarization factor, no thermal factor.

Largest 10 diffraction maxima, low angle first, 2θ = 10–90°:
2theta  d/Å  I (rel.)  hkl
13.12  6.748  95  1 0 1
17.88  4.960  100  1 1 0
19.28  4.603  38  0 1 2
22.25  3.996  40  0 2 1
26.42  3.374  53  2 0 2
28.69  3.112  69  3 -1 1
38.68  2.328  34  4 -3 1
40.09  2.249  39  0 3 3
41.36  2.183  59  4 -1 2
42.78  2.114  32  0 1 5

Cell and atoms:
a b c (Å): 9.9191 9.9191 10.9034
angles (deg): 90.00 90.00 120.00
Space group R-3 (No. 148, hexagonal axes)
Inequivalent atoms, fractional coordinates:
Li (0.0275, 0.5942, 0.2104) [18 per cell]
Al (0.0484, 0.8626, 0.3223) [18 per cell]
Al (0.0607, 0.1979, 0.9040) [18 per cell]
Ir (0.0000, 0.0000, 0.5000) [3 per cell]

3.
The following is a simulated X-ray powder pattern of MgAl4Ir5. It was derived from a DFT-relaxed cell (GGA-PBE, Alexandria), using Cu Kα (weighted mean of Kα1 and Kα2).
Kinematic intensities with the Lorentz-polarization factor, no thermal factor.

Largest 10 diffraction maxima, low angle first, 2θ = 10–90°:
2theta  d/Å  I (rel.)  hkl
29.25  3.053  37  0 0 5
29.52  3.025  75  1 0 0
42.04  2.149  100  1 0 5
42.24  2.139  51  1 1 0
52.21  1.752  30  1 1 5
61.28  1.513  17  2 0 0
69.32  1.355  13  2 0 5
69.47  1.353  14  2 1 0
76.68  1.243  16  1 1 10
77.10  1.237  34  2 1 5

Cell and atoms:
a b c (Å): 3.0255 3.0255 15.2668
angles (deg): 90.00 90.00 90.00
Space group P4/mmm (No. 123)
Inequivalent atoms, fractional coordinates:
Mg (0.0000, 0.0000, 0.0000) [1 per cell]
Al (0.0000, 0.0000, 0.1996) [2 per cell]
Al (0.0000, 0.0000, 0.4001) [2 per cell]
Ir (0.5000, 0.5000, 0.1091) [2 per cell]
Ir (0.5000, 0.5000, 0.3036) [2 per cell]
Ir (0.5000, 0.5000, 0.5000) [1 per cell]